(1)
The following is a computed powder XRD pattern of LiPWO4. It was derived from a structure optimized by DFT (PBE+U), using Cu Kα (weighted mean of Kα1 and Kα2).

Largest 12 diffraction maxima, low angle first, 10° ≤ 2θ ≤ 90°:
2θ/deg	I/Imax
15.80	52
25.20	100
29.16	29
33.34	16
33.98	62
41.75	14
43.77	10
47.31	13
48.93	11
49.36	18
51.74	20
54.85	16

Structural model:
```
data_LiPWO4
_cell_length_a 11.217
_cell_length_b 6.124
_cell_length_c 4.690
_cell_angle_alpha 90.00
_cell_angle_beta 90.00
_cell_angle_gamma 90.00
_symmetry_space_group_name_H-M 'P n m a'
_symmetry_Int_Tables_number 62
loop_
_symmetry_equiv_pos_as_xyz
'x,y,z'
'-x,-y,-z'
'-x+1/2,-y,z+1/2'
'x+1/2,y,-z+1/2'
'x+1/2,-y+1/2,-z+1/2'
'-x+1/2,y+1/2,z+1/2'
'-x,y+1/2,-z'
'x,-y+1/2,z'
loop_
_atom_site_label
_atom_site_fract_x
_atom_site_fract_y
_atom_site_fract_z
Li1 0.000 0.000 0.000
P1 0.083 0.250 0.423
W1 0.229 0.750 0.492
O1 0.045 0.750 0.701
O2 0.088 0.250 0.751
O3 0.148 0.047 0.281
```

(2)
The following is a computed powder XRD pattern of Mn7V5O16. It was derived from a structure optimized by DFT (PBE+U), using Cu Kα (weighted mean of Kα1 and Kα2).

Largest 12 diffraction maxima, low angle first, 10° ≤ 2θ ≤ 90°:
2θ/deg	I/Imax
28.80	49
29.55	36
33.73	53
33.93	28
34.21	59
34.38	55
34.53	100
41.52	43
54.80	26
59.65	74
60.70	23
61.33	46

Structural model:
```
data_Mn7V5O16
_cell_length_a 6.205
_cell_length_b 10.440
_cell_length_c 10.623
_cell_angle_alpha 80.71
_cell_angle_beta 88.96
_cell_angle_gamma 73.99
_symmetry_space_group_name_H-M 'P -1'
_symmetry_Int_Tables_number 2
loop_
_symmetry_equiv_pos_as_xyz
'x,y,z'
'-x,-y,-z'
loop_
_atom_site_label
_atom_site_fract_x
_atom_site_fract_y
_atom_site_fract_z
Mn1 0.000 0.000 0.000
Mn2 0.000 0.000 0.500
Mn3 0.097 0.312 0.026
Mn4 0.151 0.188 0.714
Mn5 0.258 0.496 0.749
Mn6 0.336 0.810 0.784
Mn7 0.398 0.690 0.470
Mn8 0.500 0.000 0.500
Mn9 0.500 0.500 0.000
V1 0.000 0.500 0.500
V2 0.134 0.257 0.370
V3 0.247 0.499 0.254
V4 0.261 0.001 0.247
V5 0.374 0.756 0.130
V6 0.500 0.000 0.000
O1 0.019 0.871 0.695
O2 0.038 0.395 0.676
O3 0.073 0.381 0.201
O4 0.096 0.880 0.186
O5 0.148 0.623 0.567
O6 0.186 0.137 0.534
O7 0.199 0.629 0.086
O8 0.218 0.105 0.070
O9 0.290 0.386 0.432
O10 0.305 0.896 0.416
O11 0.326 0.877 0.959
O12 0.356 0.362 0.925
O13 0.404 0.130 0.308
O14 0.409 0.629 0.295
O15 0.455 0.114 0.821
O16 0.474 0.605 0.806
```

(3)
The following is a computed powder XRD pattern of NaFeBO3. It was derived from a structure optimized by DFT (PBE+U), using Cu Kα (weighted mean of Kα1 and Kα2).

Largest 12 diffraction maxima, low angle first, 10° ≤ 2θ ≤ 90°:
2θ/deg	I/Imax
19.69	53
20.23	100
34.78	73
35.05	38
35.73	34
37.82	55
40.99	59
41.64	26
48.28	38
52.09	37
57.47	19
73.42	17

Structural model:
```
data_NaFeBO3
_cell_length_a 5.118
_cell_length_b 9.016
_cell_length_c 6.905
_cell_angle_alpha 90.00
_cell_angle_beta 125.81
_cell_angle_gamma 90.00
_symmetry_space_group_name_H-M 'P 1 21/c 1'
_symmetry_Int_Tables_number 14
loop_
_symmetry_equiv_pos_as_xyz
'x,y,z'
'-x,-y,-z'
'-x,y+1/2,-z+1/2'
'x,-y+1/2,z+1/2'
loop_
_atom_site_label
_atom_site_fract_x
_atom_site_fract_y
_atom_site_fract_z
Na1 0.250 0.161 0.250
Fe1 0.000 0.000 0.500
Fe2 0.500 0.000 0.000
B1 0.250 0.673 0.750
O1 0.021 0.099 0.804
O2 0.250 0.671 0.250
O3 0.479 0.100 0.697
```

(4)
The following is a computed powder XRD pattern of V2P3O12. It was derived from a structure optimized by DFT (PBE+U), using Cu Kα (weighted mean of Kα1 and Kα2).

Largest 12 diffraction maxima, low angle first, 10° ≤ 2θ ≤ 90°:
2θ/deg	I/Imax
14.51	50
14.65	55
20.23	86
20.45	47
21.24	40
24.32	100
24.51	73
24.57	40
24.70	40
29.25	40
29.54	38
29.77	34

Structural model:
```
data_V2P3O12
_cell_length_a 8.365
_cell_length_b 8.366
_cell_length_c 8.705
_cell_angle_alpha 90.43
_cell_angle_beta 117.92
_cell_angle_gamma 119.64
_symmetry_space_group_name_H-M 'P -1'
_symmetry_Int_Tables_number 2
loop_
_symmetry_equiv_pos_as_xyz
'x,y,z'
'-x,-y,-z'
loop_
_atom_site_label
_atom_site_fract_x
_atom_site_fract_y
_atom_site_fract_z
V1 0.210 0.360 0.066
V2 0.218 0.863 0.581
P1 0.007 0.032 0.255
P2 0.277 0.529 0.752
P3 0.283 0.753 0.244
O1 0.072 0.360 0.575
O2 0.105 0.750 0.071
O3 0.132 0.902 0.733
O4 0.139 0.017 0.445
O5 0.156 0.170 0.890
O6 0.166 0.179 0.209
O7 0.234 0.523 0.906
O8 0.262 0.559 0.231
O9 0.291 0.813 0.417
O10 0.312 0.722 0.710
O11 0.476 0.529 0.798
O12 0.495 0.090 0.730
```

(5)
The following is a computed powder XRD pattern of Mg6AlFeO8. It was derived from a structure optimized by DFT (PBE+U), using Cu Kα (weighted mean of Kα1 and Kα2).

Largest 12 diffraction maxima, low angle first, 10° ≤ 2θ ≤ 90°:
2θ/deg	I/Imax
10.24	20
20.93	5
31.56	4
36.46	29
37.76	7
41.83	50
42.61	100
61.24	55
61.84	28
72.87	7
73.96	11
77.46	25

Structural model:
```
data_Mg6AlFeO8
_cell_length_a 4.244
_cell_length_b 4.244
_cell_length_c 8.638
_cell_angle_alpha 90.00
_cell_angle_beta 90.00
_cell_angle_gamma 90.00
_symmetry_space_group_name_H-M 'P 4/m m m'
_symmetry_Int_Tables_number 123
_symmetry_space_group_name_Hall '-P 4 2'
loop_
_atom_site_label
_atom_site_fract_x
_atom_site_fract_y
_atom_site_fract_z
Mg1 0.000 0.000 0.000
Mg2 0.000 0.500 0.254
Mg3 0.500 0.500 0.000
Al1 0.000 0.000 0.500
Fe1 0.500 0.500 0.500
O1 0.000 0.000 0.276
O2 0.000 0.500 0.000
O3 0.000 0.500 0.500
O4 0.500 0.500 0.233
```

(6)
The following is a computed powder XRD pattern of CaLaFeBiO6. It was derived from a structure optimized by DFT (PBE+U), using Cu Kα (weighted mean of Kα1 and Kα2).

Largest 12 diffraction maxima, low angle first, 10° ≤ 2θ ≤ 90°:
2θ/deg	I/Imax
18.59	35
21.50	10
30.59	100
36.03	24
43.80	32
47.97	12
54.37	40
57.97	8
63.68	19
66.97	8
72.29	18
88.51	22

Structural model:
```
data_CaLaFeBiO6
_cell_length_a 8.267
_cell_length_b 8.267
_cell_length_c 8.267
_cell_angle_alpha 90.00
_cell_angle_beta 90.00
_cell_angle_gamma 90.00
_symmetry_space_group_name_H-M 'F -4 3 m'
_symmetry_Int_Tables_number 216
_symmetry_space_group_name_Hall 'F -4 2 3'
loop_
_atom_site_label
_atom_site_fract_x
_atom_site_fract_y
_atom_site_fract_z
Ca1 0.000 0.000 0.000
La1 0.000 0.000 0.500
Fe1 0.250 0.250 0.750
Bi1 0.250 0.250 0.250
O1 0.012 0.250 0.750
```

(7)
The following is a computed powder XRD pattern of LiV3O8. It was derived from a structure optimized by DFT (PBE+U), using Cu Kα (weighted mean of Kα1 and Kα2).

Largest 12 diffraction maxima, low angle first, 10° ≤ 2θ ≤ 90°:
2θ/deg	I/Imax
13.31	100
14.70	9
22.14	17
26.47	15
27.97	69
29.19	22
39.08	22
40.00	19
50.37	16
54.40	9
57.84	13
59.25	8

Structural model:
```
data_LiV3O8
_cell_length_a 6.970
_cell_length_b 3.623
_cell_length_c 12.473
_cell_angle_alpha 90.00
_cell_angle_beta 104.93
_cell_angle_gamma 90.00
_symmetry_space_group_name_H-M 'P 1 m 1'
_symmetry_Int_Tables_number 6
loop_
_symmetry_equiv_pos_as_xyz
'x,y,z'
'x,-y,z'
loop_
_atom_site_label
_atom_site_fract_x
_atom_site_fract_y
_atom_site_fract_z
Li1 0.000 0.000 0.000
Li2 0.188 0.000 0.261
V1 0.339 0.500 0.839
V2 0.408 0.500 0.099
V3 0.522 0.500 0.379
V4 0.785 0.000 0.229
V5 0.905 0.000 0.501
V6 0.961 0.000 0.754
O1 0.051 0.500 0.753
O2 0.133 0.000 0.574
O3 0.168 0.500 0.030
O4 0.250 0.000 0.846
O5 0.326 0.500 0.250
O6 0.398 0.500 0.471
O7 0.472 0.500 0.753
O8 0.475 0.000 0.130
O9 0.512 0.500 0.978
O10 0.598 0.000 0.367
O11 0.701 0.500 0.223
O12 0.787 0.000 0.623
O13 0.824 0.500 0.472
O14 0.836 0.000 0.848
O15 0.922 0.000 0.138
O16 0.974 0.000 0.351
```